Er6AgGe2S14: calculated PXRD pattern (Cu Kα (weighted mean of Kα1 and Kα2)), based on DFT lattice parameters and positions (PBE).

Crystal structure
Lattice parameters (Å, degrees): 9.7284 9.7284 5.8799 90.00 90.00 120.00
Positions (direct):
Er: 0.0240 0.4738 0.0000
Er: 0.3080 0.1937 0.5016
Er: 0.4498 0.9760 0.0000
Er: 0.5262 0.5502 0.0000
Er: 0.8063 0.1143 0.5016
Er: 0.8857 0.6920 0.5016
Ag: 0.6667 0.3333 0.3022
Ge: 0.0000 0.0000 0.9276
Ge: 0.3333 0.6667 0.4202
S: 0.0000 0.0000 0.3047
S: 0.0923 0.2384 0.7634
S: 0.1461 0.9077 0.7634
S: 0.1879 0.7597 0.2566
S: 0.2403 0.4282 0.2566
S: 0.3333 0.6667 0.7977
S: 0.4050 0.2259 0.0603
S: 0.5095 0.0716 0.5548
S: 0.5622 0.4905 0.5548
S: 0.5718 0.8121 0.2566
S: 0.7616 0.8539 0.7634
S: 0.7741 0.1791 0.0603
S: 0.8209 0.5950 0.0603
S: 0.9284 0.4378 0.5548

Peak list (12 most intense, 10° ≤ 2θ ≤ 90°, low angle first)
d_spacing, Position (°2θ), I (rel.)
4.822, 18.40, 217
4.213, 21.09, 209
3.748, 23.74, 206
3.424, 26.02, 1000
3.184, 28.02, 171
2.516, 35.68, 175
2.432, 36.96, 459
2.411, 37.30, 362
2.337, 38.53, 194
2.172, 41.59, 209
1.777, 51.42, 187
1.755, 52.12, 173

Cs3Na2Hg2Au4: calculated PXRD pattern (Cu Kα (weighted mean of Kα1 and Kα2)), based on DFT lattice parameters and positions (PBE).

Crystal structure
Lattice parameters (Å, degrees): 5.0204 5.0204 18.9235 90.00 90.00 120.00
Positions (direct):
Cs: 0.0000 0.0000 0.0000
Cs: 0.0000 0.0000 0.2678
Cs: 0.0000 0.0000 0.7322
Na: 0.3333 0.6667 0.5572
Na: 0.6667 0.3333 0.4428
Hg: 0.3333 0.6667 0.1353
Hg: 0.6667 0.3333 0.8647
Au: 0.3333 0.6667 0.3983
Au: 0.3333 0.6667 0.8636
Au: 0.6667 0.3333 0.1364
Au: 0.6667 0.3333 0.6017

Peak list (12 most intense, 10° ≤ 2θ ≤ 90°, low angle first)
d_spacing, Position (°2θ), I (rel.)
4.731, 18.76, 256
3.951, 22.51, 214
3.580, 24.87, 514
3.201, 27.87, 1000
2.703, 33.14, 183
2.510, 35.77, 821
2.217, 40.69, 234
1.975, 45.94, 259
1.839, 49.56, 357
1.721, 53.21, 250
1.600, 57.62, 158
1.552, 59.55, 241

LaPrIN: calculated PXRD pattern (Cu Kα (weighted mean of Kα1 and Kα2)), based on DFT lattice parameters and positions (PBE).

Crystal structure
Lattice parameters (Å, degrees): 3.8401 3.8401 8.1675 103.59 103.59 60.13
Positions (direct):
La: 0.0000 0.0000 0.0000
Pr: 0.2193 0.2193 0.6577
I: 0.7791 0.7791 0.3378
N: 0.6110 0.6110 0.8326

Peak list (12 most intense, 10° ≤ 2θ ≤ 90°, low angle first)
d_spacing, Position (°2θ), I (rel.)
3.295, 27.06, 384
3.203, 27.86, 144
2.898, 30.85, 896
2.719, 32.94, 1000
2.620, 34.22, 337
2.207, 40.90, 111
1.924, 47.24, 299
1.920, 47.35, 309
1.593, 57.90, 147
1.570, 58.82, 125
1.549, 59.68, 409
1.503, 61.72, 158